# Ca4LaAg5
Computed X-ray powder pattern, CuKα. Input: the PBE geometry in Alexandria.
Neutral-atom scattering factors, no anomalous dispersion.

Crystal structure
abc: 3.747 3.747 18.590
angles: 90.00 90.00 90.00
Fractional positions:
Ca1 0.000 0.000 0.098
Ca2 0.000 0.000 0.296
Ca3 0.000 0.000 0.704
Ca4 0.000 0.000 0.902
La1 0.000 0.000 0.500
Ag1 0.500 0.500 0.000
Ag2 0.500 0.500 0.196
Ag3 0.500 0.500 0.396
Ag4 0.500 0.500 0.604
Ag5 0.500 0.500 0.804

Most intense lines, 2θ = 10–90°, by angle:
23.75 deg, d 3.747, rel. 11
33.83 deg, d 2.650, rel. 52
33.97 deg, d 2.639, rel. 100
48.59 deg, d 1.874, rel. 18
60.61 deg, d 1.528, rel. 35
60.88 deg, d 1.522, rel. 17